(1)
This entry pairs a crystal structure of YUCo10 with its calculated XRD peak list. Radiation: Cu Kα. Structure: DFT lattice parameters and positions (GGA-PBE).
Kinematic intensities with the Lorentz-polarization factor, no thermal factor.

Main lines, in order of rising 2θ (15° ≤ 2θ ≤ 90°):
d/Å, I_rel
2.888, 57
2.417, 32
2.095, 24
2.067, 100
1.994, 28
1.538, 16
1.444, 21
1.165, 15

Cell and atoms:
```
12
Lattice="3.9883 0.0000 0.0000 0.0000 4.8420 0.0000 0.0000 0.0000 8.3583" Properties=species:S:1:pos:R:3 pbc="T T T"
Y 0.0000 0.0000 0.0000
U 0.0000 2.4210 4.1791
Co 0.0000 0.0000 2.8920
Co 0.0000 0.0000 5.4663
Co 0.0000 2.4210 1.5443
Co 0.0000 2.4210 6.8140
Co 1.9941 0.0000 4.1791
Co 1.9941 1.1949 2.0864
Co 1.9941 1.1949 6.2719
Co 1.9941 2.4210 0.0000
Co 1.9941 3.6470 2.0864
Co 1.9941 3.6470 6.2719
```


(2)
This entry pairs a crystal structure of KAlSiO4 with its calculated XRD peak list. Radiation: Cu Kα. Structure: DFT lattice parameters and positions (GGA-PBE).
Kinematic intensities with the Lorentz-polarization factor, no thermal factor.

Main lines, in order of rising 2θ (15° ≤ 2θ ≤ 90°):
d/Å, I_rel
4.032, 55
3.167, 100
2.614, 61
2.508, 19
2.215, 18
1.597, 18
1.509, 23
1.286, 15

Cell and atoms:
```
14
Lattice="5.2290 0.0000 0.0000 -2.6145 4.5284 0.0000 0.0000 0.0000 8.8599" Properties=species:S:1:pos:R:3 pbc="T T T"
K 0.0000 0.0000 0.0000
K 0.0000 0.0000 4.4299
Al 0.0000 3.0190 2.7146
Al 2.6145 1.5095 7.1445
Si 0.0000 3.0190 6.0995
Si 2.6145 1.5095 1.6696
O -0.9605 1.7950 6.6145
O 0.0000 3.0190 4.4659
O -0.5797 4.4628 6.6145
O 1.0743 1.7294 2.1845
O 1.5402 2.7991 6.6145
O 3.1942 0.0657 2.1845
O 2.6145 1.5095 0.0360
O 3.5750 2.7334 2.1845
```


(3)
This entry pairs a crystal structure of La7Ni16 with its calculated XRD peak list. Radiation: Cu Kα. Structure: DFT lattice parameters and positions (GGA-PBE).
Kinematic intensities with the Lorentz-polarization factor, no thermal factor.

Main lines, in order of rising 2θ (15° ≤ 2θ ≤ 90°):
d/Å, I_rel
3.198, 26
2.710, 28
2.593, 24
2.573, 48
2.409, 32
2.208, 100
2.183, 53
2.106, 62

Cell and atoms:
```
23
Lattice="-3.6671 3.6671 7.2204 3.6671 -3.6671 7.2204 3.6671 3.6671 -7.2204" Properties=species:S:1:pos:R:3 pbc="T T T"
La 0.0000 0.0000 0.0000
La 2.2345 2.2345 -1.4789
La 3.6671 0.0000 3.6102
La 1.4326 -1.4326 8.6993
La 1.4326 1.4326 5.7415
La 0.0000 3.6671 3.6102
La -1.4326 1.4326 8.6993
Ni 4.6388 0.8521 -0.9526
Ni 2.8014 2.8014 -4.5320
Ni 1.0263 -1.0263 4.3519
Ni 2.6954 0.8521 0.9526
Ni 2.8149 -0.9717 6.2678
Ni 0.8657 0.8657 2.6883
Ni 0.8521 2.6954 0.9526
Ni -1.0263 1.0263 4.3519
Ni 2.6408 2.6408 2.8685
Ni 0.8521 4.6388 -0.9526
Ni 0.8657 -0.8657 11.7524
Ni 2.8149 0.9717 8.1730
Ni -0.9717 2.8149 6.2678
Ni 1.0263 1.0263 10.0889
Ni -0.8657 0.8657 11.7524
Ni 0.9717 2.8149 8.1730
```


(4)
This entry pairs a crystal structure of Zn2PHO5 with its calculated XRD peak list. Radiation: Cu Kα. Structure: DFT lattice parameters and positions (GGA-PBE).
Kinematic intensities with the Lorentz-polarization factor, no thermal factor.

Main lines, in order of rising 2θ (15° ≤ 2θ ≤ 90°):
d/Å, I_rel
5.482, 37
3.764, 100
3.320, 64
3.019, 57
2.907, 94
2.815, 99
2.549, 60
2.464, 95

Cell and atoms:
```
18
Lattice="5.6113 0.0000 0.0000 0.2669 5.7514 0.0000 1.4068 1.3134 6.2987" Properties=species:S:1:pos:R:3 pbc="T T T"
Zn 0.6604 1.7903 1.9633
Zn 2.3720 4.3191 0.0006
Zn 4.9130 2.7457 6.2982
Zn 6.6246 5.2745 4.3354
P 2.0737 2.4538 4.8923
P 5.2114 4.6110 1.4064
H 2.9710 2.8368 2.0186
H 4.3140 4.2280 4.2801
O 0.3839 4.3251 0.0837
O 1.2489 1.4704 3.9970
O 2.3121 3.7638 4.1116
O 2.3980 2.5469 1.2735
O 3.4443 1.7911 5.2571
O 3.8408 5.2737 1.0416
O 4.8870 4.5179 5.0253
O 4.9730 3.3010 2.1871
O 6.0361 5.5944 2.3017
O 6.9011 2.7397 6.2151
```


(5)
This entry pairs a crystal structure of CrN2 with its calculated XRD peak list. Radiation: Cu Kα. Structure: DFT lattice parameters and positions (GGA-PBE).
Kinematic intensities with the Lorentz-polarization factor, no thermal factor.

Main lines, in order of rising 2θ (15° ≤ 2θ ≤ 90°):
d/Å, I_rel
2.748, 58
2.380, 100
1.943, 4
1.683, 49
1.435, 43
1.374, 14
1.190, 4
1.092, 17

Cell and atoms:
```
12
Lattice="4.7592 0.0000 0.0000 0.0000 4.7592 0.0000 0.0000 0.0000 4.7592" Properties=species:S:1:pos:R:3 pbc="T T T"
Cr 0.0000 0.0000 0.0000
Cr 0.0000 2.3796 2.3796
Cr 2.3796 0.0000 2.3796
Cr 2.3796 2.3796 0.0000
N 0.3924 2.7720 4.3669
N 0.3924 4.3669 1.9872
N 1.9872 0.3924 4.3669
N 1.9872 1.9872 1.9872
N 2.7720 2.7720 2.7720
N 2.7720 4.3669 0.3924
N 4.3669 0.3924 2.7720
N 4.3669 1.9872 0.3924
```


(6)
This entry pairs a crystal structure of K3GaSe3 with its calculated XRD peak list. Radiation: Cu Kα. Structure: DFT lattice parameters and positions (GGA-PBE).
Kinematic intensities with the Lorentz-polarization factor, no thermal factor.

Main lines, in order of rising 2θ (15° ≤ 2θ ≤ 90°):
d/Å, I_rel
4.619, 64
3.856, 40
3.391, 40
3.142, 100
3.070, 61
3.050, 75
3.008, 51
2.600, 65

Cell and atoms:
```
28
Lattice="8.1775 0.0000 0.0000 0.0000 13.1929 0.0000 -6.5192 0.0000 8.4366" Properties=species:S:1:pos:R:3 pbc="T T T"
K -2.0706 1.6211 4.0006
K -5.3302 4.9753 8.2189
K -4.5242 1.1980 7.5563
K -1.2646 5.3984 3.3380
K -0.7889 9.1001 4.9212
K 2.4707 10.6892 0.7029
K -0.8124 2.5036 7.7337
K 2.4472 4.0928 3.5154
K 2.9228 7.7944 5.0986
K 6.1824 11.9949 0.8803
K 6.9885 8.2176 0.2177
K 3.7289 11.5718 4.4360
Ga 1.3594 0.8062 2.8277
Ga -1.9002 5.7903 7.0460
Ga 3.5585 7.4026 1.3906
Ga 0.2989 12.3867 5.6089
Se -0.0022 2.3688 1.5775
Se -3.2618 4.2277 5.7958
Se -2.9219 8.0298 7.3847
Se 0.3377 11.7595 3.1664
Se 1.3114 7.2302 2.2368
Se -1.9482 12.5592 6.4551
Se 3.6064 0.6337 1.9815
Se 0.3468 5.9627 6.1998
Se 1.3206 1.4334 5.2702
Se 4.5802 5.1630 1.0519
Se 4.9201 8.9652 2.6408
Se 1.6605 10.8241 6.8591
```


(7)
This entry pairs a crystal structure of Ag7AsSe6 with its calculated XRD peak list. Radiation: Cu Kα. Structure: DFT lattice parameters and positions (GGA-PBE).
Kinematic intensities with the Lorentz-polarization factor, no thermal factor.

Main lines, in order of rising 2θ (15° ≤ 2θ ≤ 90°):
d/Å, I_rel
3.190, 100
3.065, 20
2.954, 34
2.605, 36
2.412, 17
2.167, 25
2.127, 34
1.954, 48

Cell and atoms:
```
56
Lattice="11.0514 0.0000 0.0000 0.0000 11.0514 0.0000 0.0000 0.0000 11.0514" Properties=species:S:1:pos:R:3 pbc="T T T"
Ag 0.1151 2.4770 5.7229
Ag 0.1972 5.4106 8.5745
Ag 0.8027 6.6701 2.5091
Ag 1.1443 3.0167 10.2487
Ag 1.6726 9.3789 3.8532
Ag 2.4770 5.7229 0.1151
Ag 2.5091 0.8027 6.6701
Ag 3.0167 10.2487 1.1443
Ag 3.0488 5.3285 5.6409
Ag 3.8532 1.6726 9.3789
Ag 4.3814 8.0348 4.7230
Ag 4.7230 4.3814 8.0348
Ag 5.3285 5.6409 3.0488
Ag 5.4106 8.5745 0.1972
Ag 5.6409 3.0488 5.3285
Ag 5.7229 0.1151 2.4770
Ag 6.3284 9.9071 8.5424
Ag 6.6701 2.5091 0.8027
Ag 7.1983 7.1983 7.1983
Ag 8.0027 10.8543 10.9363
Ag 8.0348 4.7230 4.3814
Ag 8.5424 6.3284 9.9071
Ag 8.5745 0.1972 5.4106
Ag 9.3789 3.8532 1.6726
Ag 9.9071 8.5424 6.3284
Ag 10.2487 1.1443 3.0167
Ag 10.8543 10.9363 8.0027
Ag 10.9363 8.0027 10.8543
As 2.7485 2.7485 2.7485
As 2.7772 8.3029 8.2743
As 8.2743 2.7772 8.3029
As 8.3029 8.2743 2.7772
Se 0.1806 10.8709 5.3452
Se 1.3343 4.1861 4.0036
Se 1.3396 7.0478 6.8600
Se 1.3679 1.3679 1.3679
Se 1.5221 9.7171 9.7118
Se 2.3886 3.1371 7.9144
Se 3.1371 7.9144 2.3886
Se 4.0036 1.3343 4.1861
Se 4.1578 9.6835 6.8936
Se 4.1861 4.0036 1.3343
Se 4.1914 6.8654 9.5293
Se 5.3452 0.1806 10.8709
Se 5.7063 5.7063 5.7063
Se 6.8600 1.3396 7.0478
Se 6.8654 9.5293 4.1914
Se 6.8936 4.1578 9.6835
Se 7.0478 6.8600 1.3396
Se 7.9144 2.3886 3.1371
Se 8.6628 8.6628 8.6628
Se 9.5293 4.1914 6.8654
Se 9.6835 6.8936 4.1578
Se 9.7118 1.5221 9.7171
Se 9.7171 9.7118 1.5221
Se 10.8709 5.3452 0.1806
```


(8)
This entry pairs a crystal structure of CaBiAu with its calculated XRD peak list. Radiation: Cu Kα. Structure: DFT lattice parameters and positions (GGA-PBE).
Kinematic intensities with the Lorentz-polarization factor, no thermal factor.

Main lines, in order of rising 2θ (15° ≤ 2θ ≤ 90°):
d/Å, I_rel
4.210, 50
3.961, 46
3.718, 37
2.885, 66
2.431, 100
2.237, 66
2.072, 52
1.363, 28

Cell and atoms:
```
6
Lattice="4.8612 0.0000 0.0000 -2.4306 4.2099 0.0000 0.0000 0.0000 7.9224" Properties=species:S:1:pos:R:3 pbc="T T T"
Ca 0.0000 0.0000 0.0000
Ca 0.0000 0.0000 3.9612
Bi 0.0000 2.8066 2.1880
Bi 2.4306 1.4033 6.1492
Au 0.0000 2.8066 5.3418
Au 2.4306 1.4033 1.3806
```


(9)
This entry pairs a crystal structure of Rb2BiAuI6 with its calculated XRD peak list. Radiation: Cu Kα. Structure: DFT lattice parameters and positions (GGA-PBE).
Kinematic intensities with the Lorentz-polarization factor, no thermal factor.

Main lines, in order of rising 2θ (15° ≤ 2θ ≤ 90°):
d/Å, I_rel
4.292, 28
3.505, 31
3.035, 100
2.715, 39
2.146, 75
1.752, 27
1.357, 34
1.239, 25

Cell and atoms:
```
10
Lattice="0.0000 6.0702 6.0702 6.0702 0.0000 6.0702 6.0702 6.0702 0.0000" Properties=species:S:1:pos:R:3 pbc="T T T"
Rb 3.0351 3.0351 3.0351
Rb 9.1053 9.1053 9.1053
Bi 0.0000 0.0000 0.0000
Au 6.0702 6.0702 6.0702
I 6.0702 6.0702 3.1000
I 6.0702 3.1000 6.0702
I 9.0404 6.0702 6.0702
I 3.1000 6.0702 6.0702
I 6.0702 9.0404 6.0702
I 6.0702 6.0702 9.0404
```